TeWSe3Br: calculated X-ray powder pattern (Cu Ka), based on a crystal structure in OQMD, relaxed with PBE.

Cell lengths 6.4596, 8.0905, 8.3755 Å; angles 118.36, 104.73, 97.83 degrees
Element x y z (fractional)
Te  0.1367  0.3345  0.2413
Te  0.8633  0.6655  0.7587
W  0.2253  0.0001  0.9996
W  0.7747  0.9999  0.0004
Se  0.0250  0.8496  0.1516
Se  0.3948  0.9218  0.7193
Se  0.4591  0.7558  0.0039
Se  0.5409  0.2442  0.9961
Se  0.6052  0.0782  0.2807
Se  0.9750  0.1504  0.8484
Br  0.2628  0.3651  0.6056
Br  0.7372  0.6349  0.3944

Most intense lines, 2θ = 10–90°, by angle:
(0 1 -1), 12.6 deg, intensity 100; (0 0 1), 12.9 deg, intensity 62; (0 1 0), 13.0 deg, intensity 37; (0 1 1), 22.8 deg, intensity 11; (1 -2 0), 26.0 deg, intensity 11; (1 2 -3), 34.2 deg, intensity 11; (2 -2 1), 34.9 deg, intensity 13; (2 2 -2), 38.3 deg, intensity 11; (2 2 -3), 41.0 deg, intensity 17; (2 -1 2), 41.9 deg, intensity 10; (2 -3 0), 42.2 deg, intensity 11; (0 4 -1), 47.9 deg, intensity 10